(1)
Calculated powder diffraction line list of La2VFeO6 for Cu Kα, from DFT lattice parameters and positions (GGA+U).

Largest 10 diffraction maxima, by angle, 2θ = 10–80°:
| index | 2θ/deg | d_spacing | I (rel.) |
| --- | --- | --- | --- |
| 0 2 0 | 31.5 | 2.840 | 44 |
| 1 -1 2 | 31.8 | 2.815 | 100 |
| 1 1 -2 | 31.9 | 2.808 | 97 |
| 1 1 2 | 32.0 | 2.798 | 50 |
| 0 2 2 | 39.0 | 2.307 | 21 |
| 2 -2 0 | 45.3 | 2.004 | 26 |
| 2 2 0 | 45.6 | 1.988 | 25 |
| 0 0 4 | 45.9 | 1.978 | 29 |
| 3 -1 2 | 56.8 | 1.620 | 33 |
| 2 0 4 | 57.1 | 1.613 | 22 |

Cell and atoms:
a b c (Å): 5.610 5.679 7.911
angles (deg): 90.06 90.30 90.46
Element x y z (fractional)
La 0.010 0.457 0.249
La 0.489 0.959 0.252
La 0.511 0.041 0.748
La 0.990 0.543 0.751
V 0.000 0.000 0.500
V 0.500 0.500 0.000
Fe 0.000 0.000 0.000
Fe 0.500 0.500 0.500
O 0.088 0.978 0.747
O 0.210 0.714 0.454
O 0.221 0.700 0.049
O 0.294 0.215 0.453
O 0.309 0.229 0.045
O 0.412 0.477 0.752
O 0.588 0.523 0.248
O 0.691 0.771 0.955
O 0.706 0.785 0.547
O 0.779 0.300 0.951
O 0.790 0.286 0.546
O 0.912 0.022 0.253



(2)
Calculated powder diffraction line list of Li9Mn2Co5O16 for Cu Kα, from DFT lattice parameters and positions (GGA+U).

Largest 10 diffraction maxima, by angle, 2θ = 10–80°:
| index | 2θ/deg | d_spacing | I (rel.) |
| --- | --- | --- | --- |
| 1 0 0 | 18.4 | 4.829 | 100 |
| 1 2 2 | 35.5 | 2.528 | 14 |
| 1 2 -2 | 36.5 | 2.462 | 13 |
| 1 0 4 | 36.6 | 2.455 | 12 |
| 0 2 2 | 42.7 | 2.116 | 29 |
| 2 2 -2 | 44.2 | 2.050 | 26 |
| 2 0 4 | 44.4 | 2.039 | 25 |
| 2 -2 2 | 63.1 | 1.473 | 7 |
| 2 4 0 | 63.5 | 1.464 | 14 |
| 4 2 2 | 63.9 | 1.458 | 7 |

Cell and atoms:
a b c (Å): 5.831 5.863 10.002
angles (deg): 88.63 73.64 60.58
Element x y z (fractional)
Li 0.000 0.000 0.000
Li 0.000 0.000 0.500
Li 0.000 0.500 0.000
Li 0.000 0.500 0.500
Li 0.019 0.237 0.239
Li 0.028 0.723 0.230
Li 0.500 0.500 0.000
Li 0.972 0.277 0.770
Li 0.981 0.763 0.761
Mn 0.500 0.000 0.500
Mn 0.500 0.500 0.500
Co 0.493 0.754 0.755
Co 0.499 0.745 0.234
Co 0.500 0.000 0.000
Co 0.501 0.255 0.766
Co 0.507 0.246 0.245
O 0.252 0.134 0.883
O 0.263 0.625 0.383
O 0.267 0.878 0.125
O 0.272 0.624 0.858
O 0.285 0.351 0.613
O 0.286 0.852 0.612
O 0.287 0.338 0.124
O 0.288 0.113 0.370
O 0.712 0.887 0.630
O 0.713 0.662 0.876
O 0.714 0.148 0.388
O 0.715 0.649 0.387
O 0.728 0.376 0.142
O 0.733 0.122 0.875
O 0.737 0.375 0.617
O 0.748 0.866 0.117



(3)
Calculated powder diffraction line list of Li2Fe5O5F7 for Cu Kα, from DFT lattice parameters and positions (GGA+U).

Largest 10 diffraction maxima, by angle, 2θ = 10–80°:
| index | 2θ/deg | d_spacing | I (rel.) |
| --- | --- | --- | --- |
| 0 0 1 | 14.9 | 5.963 | 26 |
| 0 1 0 | 15.3 | 5.788 | 43 |
| 0 1 -1 | 19.2 | 4.632 | 29 |
| -1 1 1 | 24.6 | 3.624 | 26 |
| 1 -1 1 | 24.7 | 3.600 | 26 |
| 1 0 -2 | 30.9 | 2.897 | 74 |
| 0 2 -1 | 31.6 | 2.835 | 100 |
| 2 -1 0 | 32.1 | 2.788 | 53 |
| 1 2 -3 | 51.9 | 1.762 | 25 |
| -3 1 2 | 52.9 | 1.731 | 24 |

Cell and atoms:
a b c (Å): 5.910 5.987 6.176
angles (deg): 99.49 99.90 99.47
Element x y z (fractional)
Li 0.000 0.000 0.000
Li 0.449 0.923 0.711
Fe 0.120 0.327 0.609
Fe 0.274 0.662 0.181
Fe 0.546 0.187 0.275
Fe 0.760 0.477 0.941
Fe 0.782 0.706 0.429
O 0.078 0.437 0.908
O 0.532 0.488 0.164
O 0.543 0.904 0.388
O 0.813 0.388 0.488
O 0.958 0.727 0.193
F 0.015 0.996 0.627
F 0.211 0.201 0.310
F 0.259 0.621 0.533
F 0.316 0.917 0.992
F 0.456 0.278 0.724
F 0.715 0.731 0.775
F 0.744 0.154 0.036